Starting from DFT lattice parameters and positions (PBE), the powder XRD pattern of La2ZnSnPt6 was simulated for copper Kα.
Intensities are scaled so that the largest is 100.

Atomic structure:
```
data_La2ZnSnPt6
_chemical_formula_sum 'La6 Zn3 Sn3 Pt18'
_cell_length_a 5.6596
_cell_length_b 5.6596
_cell_length_c 24.9239
_cell_angle_alpha 90.00
_cell_angle_beta 90.00
_cell_angle_gamma 120.00
_space_group_name_H-M_alt 'R -3 m'
_space_group_IT_number 166
_space_group_name_Hall '-R 3 2"'
loop_
_atom_site_label
_atom_site_type_symbol
_atom_site_fract_x
_atom_site_fract_y
_atom_site_fract_z
_atom_site_occupancy
La1 La 0.0000 0.0000 0.2053 1
Zn1 Zn 0.0000 0.0000 0.5000 1
Sn1 Sn 0.0000 0.0000 0.0000 1
Pt1 Pt 0.0039 0.5020 0.2470 1
```

Most intense lines, 2θ = 10–90°, low angle first:
hkl, 2theta, I (rel.)
0 0 3, 10.6, 18
0 1 2, 19.5, 33
0 0 6, 21.4, 63
2 0 2, 37.4, 77
1 1 6, 38.5, 37
0 2 4, 39.5, 100
1 0 10, 40.6, 30
2 0 8, 47.2, 38
0 1 14, 54.9, 18
2 2 0, 66.0, 27